[1]
Calculated XRD peak list of AgMo12PbS16 for Cu Kα (weighted mean of Kα1 and Kα2), from a GGA-PBE-relaxed structure.
Kinematic intensities with the Lorentz-polarization factor, no thermal factor.

Atomic structure:
```
data_AgMo12PbS16
_symmetry_space_group_name_H-M 'R -3'
_symmetry_Int_Tables_number 148
_symmetry_space_group_name_Hall '-R 3'
_cell_length_a 9.2961
_cell_length_b 9.2961
_cell_length_c 22.5991
_cell_angle_alpha 90.00
_cell_angle_beta 90.00
_cell_angle_gamma 120.00
loop_
_atom_site_label
_atom_site_fract_x
_atom_site_fract_y
_atom_site_fract_z
_atom_site_occupancy
Ag1 0.0000 0.0000 0.0000 1
Mo1 0.0148 0.8370 0.3007 1
Mo2 0.0145 0.8402 0.8020 1
Pb1 0.0000 0.0000 0.5000 1
S1 0.0000 0.0000 0.1154 1
S2 0.0000 0.0000 0.3794 1
S3 0.0111 0.6336 0.8745 1
S4 0.0162 0.6360 0.3751 1
```

Peak list (10 most intense, 10 to 80 degrees two-theta, by angle)
two_theta	I/Imax	hkl
13.5	68	0 1 2
19.1	100	1 1 0
23.5	32	2 0 2
30.4	79	3 -2 2
33.4	60	3 -1 4
41.2	70	4 -1 2
41.5	50	1 0 10
43.6	33	1 3 4
43.7	51	1 2 8
45.9	77	4 -2 6

[2]
Calculated XRD peak list of AgMo6S8 for Cu Kα (weighted mean of Kα1 and Kα2), from a GGA-PBE-relaxed structure.
Kinematic intensities with the Lorentz-polarization factor, no thermal factor.

Atomic structure:
```
data_AgMo6S8
_symmetry_space_group_name_H-M 'R -3'
_symmetry_Int_Tables_number 148
_symmetry_space_group_name_Hall '-R 3'
_cell_length_a 9.4097
_cell_length_b 9.4097
_cell_length_c 10.9045
_cell_angle_alpha 90.00
_cell_angle_beta 90.00
_cell_angle_gamma 120.00
loop_
_atom_site_label
_atom_site_fract_x
_atom_site_fract_y
_atom_site_fract_z
_atom_site_occupancy
Ag1 0.0000 0.0000 0.0000 1
Mo1 0.0153 0.8388 0.3921 1
S1 0.0000 0.0000 0.2238 1
S2 0.0193 0.6348 0.2515 1
```

Peak list (10 most intense, 10 to 80 degrees two-theta, by angle)
two_theta	I/Imax	hkl
13.6	100	1 0 1
18.9	35	1 1 0
24.5	25	0 0 3
30.2	67	2 1 1
33.4	51	1 2 2
40.8	62	1 3 1
42.9	41	0 1 5
43.3	33	4 -1 2
44.4	38	3 -1 4
46.0	71	4 -2 3

[3]
Calculated XRD peak list of AgMo3Se3 for Cu Kα (weighted mean of Kα1 and Kα2), from a GGA-PBE-relaxed structure.
Kinematic intensities with the Lorentz-polarization factor, no thermal factor.

Atomic structure:
```
data_AgMo3Se3
_symmetry_space_group_name_H-M 'P 63/m'
_symmetry_Int_Tables_number 176
_symmetry_space_group_name_Hall '-P 6c'
_cell_length_a 8.4216
_cell_length_b 8.4216
_cell_length_c 4.5313
_cell_angle_alpha 90.00
_cell_angle_beta 90.00
_cell_angle_gamma 120.00
loop_
_atom_site_label
_atom_site_fract_x
_atom_site_fract_y
_atom_site_fract_z
_atom_site_occupancy
Ag1 0.3333 0.6667 0.2500 1
Mo1 0.0516 0.8475 0.2500 1
Se1 0.0952 0.6967 0.7500 1
```

Peak list (10 most intense, 10 to 80 degrees two-theta, by angle)
two_theta	I/Imax	hkl
12.1	45	1 0 0
32.5	33	1 2 0
38.2	100	1 2 1
39.8	35	0 0 2
42.2	19	3 0 1
44.8	13	1 3 0
49.3	22	1 3 1
52.3	16	1 2 2
58.8	12	3 2 1
71.2	15	1 2 3

[4]
Calculated XRD peak list of Ag7NO8 for Cu Kα (weighted mean of Kα1 and Kα2), from a GGA-PBE-relaxed structure.
Kinematic intensities with the Lorentz-polarization factor, no thermal factor.

Atomic structure:
```
data_Ag7NO8
_symmetry_space_group_name_H-M 'F m -3 m'
_symmetry_Int_Tables_number 225
_symmetry_space_group_name_Hall '-F 4 2 3'
_cell_length_a 10.0201
_cell_length_b 10.0201
_cell_length_c 10.0201
_cell_angle_alpha 90.00
_cell_angle_beta 90.00
_cell_angle_gamma 90.00
loop_
_atom_site_label
_atom_site_fract_x
_atom_site_fract_y
_atom_site_fract_z
_atom_site_occupancy
Ag1 0.0000 0.0000 0.0000 1
Ag2 0.0000 0.0000 0.2816 1
N1 0.0000 0.0000 0.5000 1
O1 0.1310 0.1310 0.1310 1
```

Peak list (10 most intense, 10 to 80 degrees two-theta, by angle)
two_theta	I/Imax	hkl
17.7	100	2 0 0
30.9	65	2 2 2
35.8	48	4 0 0
39.2	53	3 3 1
40.3	36	4 2 0
47.1	24	3 3 3
51.6	54	4 4 0
55.0	17	6 0 0
72.5	18	7 3 1
78.1	20	7 3 3

[5]
Calculated XRD peak list of Ag4SN2O2 for Cu Kα (weighted mean of Kα1 and Kα2), from a GGA-PBE-relaxed structure.
Kinematic intensities with the Lorentz-polarization factor, no thermal factor.

Atomic structure:
```
data_Ag4SN2O2
_symmetry_space_group_name_H-M 'P n a 21'
_symmetry_Int_Tables_number 33
_cell_length_a 10.5219
_cell_length_b 5.8740
_cell_length_c 9.1978
_cell_angle_alpha 90.00
_cell_angle_beta 90.00
_cell_angle_gamma 90.00
loop_
_symmetry_equiv_pos_as_xyz
'x,y,z'
'-x,-y,z+1/2'
'-x+1/2,y+1/2,z+1/2'
'x+1/2,-y+1/2,z'
loop_
_atom_site_label
_atom_site_fract_x
_atom_site_fract_y
_atom_site_fract_z
_atom_site_occupancy
Ag1 0.0545 0.1999 0.0000 1
Ag2 0.1010 0.5951 0.7888 1
Ag3 0.1402 0.9253 0.2651 1
Ag4 0.1925 0.5216 0.4420 1
S1 0.1411 0.0982 0.6630 1
N1 0.0353 0.9137 0.7023 1
N2 0.1807 0.2460 0.8104 1
O1 0.0810 0.2638 0.5565 1
O2 0.2422 0.4962 0.1034 1
```

Peak list (10 most intense, 10 to 80 degrees two-theta, by angle)
two_theta	I/Imax	hkl
17.9	28	0 1 1
19.8	37	1 1 1
30.0	52	2 1 2
31.3	36	3 1 1
33.1	34	1 2 1
34.1	100	1 1 3
35.5	37	4 0 1
35.6	34	3 1 2
36.3	28	0 2 2
39.5	22	4 0 2

[6]
Calculated XRD peak list of Ag2SN2O2 for Cu Kα (weighted mean of Kα1 and Kα2), from a GGA-PBE-relaxed structure.
Kinematic intensities with the Lorentz-polarization factor, no thermal factor.

Atomic structure:
```
data_Ag2SN2O2
_symmetry_space_group_name_H-M 'P 1 21/c 1'
_symmetry_Int_Tables_number 14
_cell_length_a 7.5934
_cell_length_b 5.4981
_cell_length_c 10.7262
_cell_angle_alpha 90.00
_cell_angle_beta 93.55
_cell_angle_gamma 90.00
loop_
_symmetry_equiv_pos_as_xyz
'x,y,z'
'-x,-y,-z'
'-x,y+1/2,-z+1/2'
'x,-y+1/2,z+1/2'
loop_
_atom_site_label
_atom_site_fract_x
_atom_site_fract_y
_atom_site_fract_z
_atom_site_occupancy
Ag1 0.0159 0.1888 0.3248 1
Ag2 0.3115 0.1099 0.5548 1
S1 0.3192 0.5612 0.3564 1
N1 0.2422 0.5861 0.2163 1
N2 0.2704 0.2115 0.8837 1
O1 0.2329 0.7371 0.4392 1
O2 0.4856 0.0896 0.1369 1
```

Peak list (10 most intense, 10 to 80 degrees two-theta, by angle)
two_theta	I/Imax	hkl
18.1	44	0 1 1
19.7	29	1 0 -2
20.9	32	1 0 2
21.3	30	1 1 -1
25.6	100	1 1 -2
28.0	47	2 0 -2
32.7	54	1 1 3
34.0	53	2 1 2
35.6	94	3 0 0
37.3	75	0 1 4

[7]
Calculated XRD peak list of Ag3SeNO3 for Cu Kα (weighted mean of Kα1 and Kα2), from a GGA-PBE-relaxed structure.
Kinematic intensities with the Lorentz-polarization factor, no thermal factor.

Atomic structure:
```
data_Ag3SeNO3
_symmetry_space_group_name_H-M 'R 3 c'
_symmetry_Int_Tables_number 161
_symmetry_space_group_name_Hall 'R 3 -2"c'
_cell_length_a 8.6268
_cell_length_b 8.6268
_cell_length_c 11.8817
_cell_angle_alpha 90.00
_cell_angle_beta 90.00
_cell_angle_gamma 120.00
loop_
_atom_site_label
_atom_site_fract_x
_atom_site_fract_y
_atom_site_fract_z
_atom_site_occupancy
Ag1 0.0674 0.2604 0.0000 1
Se1 0.0000 0.0000 0.2152 1
N1 0.0000 0.0000 0.0664 1
O1 0.0629 0.2066 0.2690 1
```

Peak list (10 most intense, 10 to 80 degrees two-theta, by angle)
two_theta	I/Imax	hkl
28.2	100	2 0 2
30.6	53	1 1 3
32.4	44	1 0 4
32.6	67	2 1 1
35.2	43	1 2 2
36.1	30	3 0 0
38.7	38	0 2 4
44.4	21	1 3 1
56.4	17	4 1 0
61.5	37	1 4 3